This entry pairs a crystal structure of PrAg6Sn6 with its computed powder diffraction line list. Radiation: a wavelength of 1.5418 Å. Structure: a crystal structure in Alexandria, relaxed with PBE.
Neutral-atom scattering factors, no anomalous dispersion.

Structure:
Lattice parameters (Å, degrees): 7.663 7.663 7.663 134.31 101.84 95.53
Positions (direct):
Pr 0.000 0.000 0.000
Ag 0.000 0.000 0.500
Ag 0.000 0.500 0.000
Ag 0.248 0.500 0.748
Ag 0.500 0.000 0.000
Ag 0.500 0.500 0.500
Ag 0.752 0.500 0.252
Sn 0.165 0.665 0.500
Sn 0.334 0.334 0.000
Sn 0.346 0.000 0.346
Sn 0.654 0.000 0.654
Sn 0.666 0.666 0.000
Sn 0.835 0.335 0.500

Largest 8 diffraction maxima, in order of falling intensity, 2θ from 10° to 90°:
- 2θ 35.4, 2.533 Å, I = 100
- 2θ 39.6, 2.273 Å, I = 92
- 2θ 34.8, 2.576 Å, I = 59
- 2θ 30.0, 2.975 Å, I = 54
- 2θ 62.4, 1.487 Å, I = 39
- 2θ 66.0, 1.416 Å, I = 32
- 2θ 37.2, 2.416 Å, I = 31
- 2θ 41.3, 2.187 Å, I = 29

***

This entry pairs a crystal structure of Pr5Ag2Sn2 with its computed powder diffraction line list. Radiation: a wavelength of 1.5418 Å. Structure: a crystal structure in Alexandria, relaxed with PBE.
Neutral-atom scattering factors, no anomalous dispersion.

Structure:
Lattice parameters (Å, degrees): 9.110 9.110 8.282 90.00 90.00 54.49
Positions (direct):
Pr 0.000 0.000 0.000
Pr 0.034 0.690 0.667
Pr 0.190 0.534 0.167
Pr 0.310 0.966 0.667
Pr 0.466 0.810 0.167
Pr 0.500 0.500 0.500
Pr 0.534 0.190 0.833
Pr 0.690 0.034 0.333
Pr 0.810 0.466 0.833
Pr 0.966 0.310 0.333
Ag 0.124 0.876 0.375
Ag 0.376 0.624 0.875
Ag 0.624 0.376 0.125
Ag 0.876 0.124 0.625
Sn 0.205 0.205 0.000
Sn 0.295 0.295 0.500
Sn 0.705 0.705 0.500
Sn 0.795 0.795 0.000

Largest 8 diffraction maxima, in order of falling intensity, 2θ from 10° to 90°:
- 2θ 29.2, 3.057 Å, I = 100
- 2θ 32.7, 2.742 Å, I = 80
- 2θ 34.5, 2.601 Å, I = 58
- 2θ 34.7, 2.587 Å, I = 56
- 2θ 30.4, 2.938 Å, I = 48
- 2θ 30.8, 2.905 Å, I = 47
- 2θ 30.9, 2.895 Å, I = 41
- 2θ 31.5, 2.837 Å, I = 29

***

This entry pairs a crystal structure of Pr2AgSn4 with its computed powder diffraction line list. Radiation: a wavelength of 1.5418 Å. Structure: a crystal structure in Alexandria, relaxed with PBE.
Neutral-atom scattering factors, no anomalous dispersion.

Structure:
Lattice parameters (Å, degrees): 4.605 4.605 9.289 90.00 90.00 90.00
Positions (direct):
Pr 0.000 0.500 0.223
Pr 0.500 0.000 0.777
Ag 0.500 0.500 0.000
Sn 0.000 0.000 0.500
Sn 0.000 0.500 0.814
Sn 0.500 0.000 0.186
Sn 0.500 0.500 0.500

Largest 8 diffraction maxima, in order of falling intensity, 2θ from 10° to 90°:
- 2θ 33.6, 2.666 Å, I = 100
- 2θ 39.1, 2.302 Å, I = 41
- 2θ 67.4, 1.390 Å, I = 27
- 2θ 29.1, 3.073 Å, I = 17
- 2θ 28.8, 3.096 Å, I = 15
- 2θ 56.5, 1.628 Å, I = 14
- 2θ 49.3, 1.848 Å, I = 14
- 2θ 56.3, 1.635 Å, I = 12

***

This entry pairs a crystal structure of Pr6AgSn with its computed powder diffraction line list. Radiation: a wavelength of 1.5418 Å. Structure: a crystal structure in Alexandria, relaxed with PBE.
Neutral-atom scattering factors, no anomalous dispersion.

Structure:
Lattice parameters (Å, degrees): 6.336 6.344 6.345 93.20 93.21 93.14
Positions (direct):
Pr 0.021 0.251 0.048
Pr 0.249 0.953 0.477
Pr 0.453 0.476 0.749
Pr 0.547 0.524 0.251
Pr 0.751 0.047 0.523
Pr 0.979 0.749 0.952
Ag 0.000 0.500 0.500
Sn 0.500 0.000 0.000

Largest 8 diffraction maxima, in order of falling intensity, 2θ from 10° to 90°:
- 2θ 30.9, 2.896 Å, I = 100
- 2θ 34.4, 2.606 Å, I = 76
- 2θ 32.4, 2.763 Å, I = 53
- 2θ 28.2, 3.160 Å, I = 36
- 2θ 52.6, 1.741 Å, I = 26
- 2θ 36.5, 2.463 Å, I = 24
- 2θ 58.4, 1.580 Å, I = 17
- 2θ 57.0, 1.616 Å, I = 15

***

This entry pairs a crystal structure of Tb4Pr3Ag4 with its computed powder diffraction line list. Radiation: a wavelength of 1.5418 Å. Structure: a crystal structure in Alexandria, relaxed with PBE.
Neutral-atom scattering factors, no anomalous dispersion.

Structure:
Lattice parameters (Å, degrees): 9.258 9.258 9.258 148.19 130.74 59.84
Positions (direct):
Tb 0.044 0.825 0.219
Tb 0.394 0.175 0.219
Tb 0.606 0.825 0.781
Tb 0.956 0.175 0.781
Pr 0.000 0.500 0.500
Pr 0.394 0.394 0.000
Pr 0.606 0.606 0.000
Ag 0.201 0.701 0.500
Ag 0.314 0.000 0.314
Ag 0.686 0.000 0.686
Ag 0.799 0.299 0.500

Largest 8 diffraction maxima, in order of falling intensity, 2θ from 10° to 90°:
- 2θ 29.6, 3.017 Å, I = 100
- 2θ 35.4, 2.537 Å, I = 49
- 2θ 30.7, 2.914 Å, I = 45
- 2θ 33.6, 2.664 Å, I = 32
- 2θ 30.2, 2.963 Å, I = 27
- 2θ 47.1, 1.928 Å, I = 27
- 2θ 40.7, 2.219 Å, I = 25
- 2θ 33.5, 2.675 Å, I = 17

***

This entry pairs a crystal structure of Tb2Pr2Ag with its computed powder diffraction line list. Radiation: a wavelength of 1.5418 Å. Structure: a crystal structure in Alexandria, relaxed with PBE.
Neutral-atom scattering factors, no anomalous dispersion.

Structure:
Lattice parameters (Å, degrees): 11.768 11.768 11.768 162.12 162.12 25.39
Positions (direct):
Tb 0.080 0.080 0.000
Tb 0.920 0.920 0.000
Pr 0.308 0.308 0.000
Pr 0.692 0.692 0.000
Ag 0.500 0.500 0.000

Largest 8 diffraction maxima, in order of falling intensity, 2θ from 10° to 90°:
- 2θ 31.3, 2.861 Å, I = 100
- 2θ 34.7, 2.586 Å, I = 47
- 2θ 60.0, 1.541 Å, I = 36
- 2θ 49.9, 1.829 Å, I = 17
- 2θ 53.4, 1.717 Å, I = 11
- 2θ 47.3, 1.921 Å, I = 11
- 2θ 58.0, 1.590 Å, I = 10
- 2θ 36.8, 2.442 Å, I = 10

***

This entry pairs a crystal structure of TbPr5Ag6 with its computed powder diffraction line list. Radiation: a wavelength of 1.5418 Å. Structure: a crystal structure in Alexandria, relaxed with PBE.
Neutral-atom scattering factors, no anomalous dispersion.

Structure:
Lattice parameters (Å, degrees): 8.464 8.464 7.454 90.00 90.00 143.18
Positions (direct):
Tb 0.000 0.000 0.000
Pr 0.000 0.000 0.500
Pr 0.332 0.668 0.500
Pr 0.334 0.666 0.000
Pr 0.666 0.334 0.000
Pr 0.668 0.332 0.500
Ag 0.162 0.838 0.244
Ag 0.162 0.838 0.756
Ag 0.500 0.500 0.240
Ag 0.500 0.500 0.760
Ag 0.838 0.162 0.244
Ag 0.838 0.162 0.756

Largest 8 diffraction maxima, in order of falling intensity, 2θ from 10° to 90°:
- 2θ 33.8, 2.655 Å, I = 100
- 2θ 33.5, 2.675 Å, I = 51
- 2θ 60.1, 1.540 Å, I = 18
- 2θ 48.1, 1.892 Å, I = 18
- 2θ 60.0, 1.541 Å, I = 18
- 2θ 60.6, 1.529 Å, I = 18
- 2θ 71.0, 1.327 Å, I = 11
- 2θ 48.9, 1.863 Å, I = 9

***

This entry pairs a crystal structure of Pr4AgTe5 with its computed powder diffraction line list. Radiation: a wavelength of 1.5418 Å. Structure: a crystal structure in Alexandria, relaxed with PBE.
Neutral-atom scattering factors, no anomalous dispersion.

Structure:
Lattice parameters (Å, degrees): 18.490 18.490 18.490 14.01 14.01 14.01
Positions (direct):
Pr 0.102 0.102 0.102
Pr 0.299 0.299 0.299
Pr 0.701 0.701 0.701
Pr 0.898 0.898 0.898
Ag 0.500 0.500 0.500
Te 0.000 0.000 0.000
Te 0.197 0.197 0.197
Te 0.402 0.402 0.402
Te 0.598 0.598 0.598
Te 0.803 0.803 0.803

Largest 8 diffraction maxima, in order of falling intensity, 2θ from 10° to 90°:
- 2θ 28.0, 3.183 Å, I = 100
- 2θ 40.0, 2.256 Å, I = 39
- 2θ 40.1, 2.246 Å, I = 36
- 2θ 49.5, 1.840 Å, I = 21
- 2θ 65.5, 1.426 Å, I = 18
- 2θ 65.7, 1.421 Å, I = 16
- 2θ 72.7, 1.300 Å, I = 12
- 2θ 57.9, 1.592 Å, I = 12